Entry 1:
For GdSn6Ru4, a crystal structure in the Materials Project, relaxed with PBE gives the theoretical powder XRD pattern in this record (Cu Ka).
Neutral-atom scattering factors, no anomalous dispersion.

Cell and atoms:
```
11
Lattice="-3.463 3.463 4.953 3.463 -3.463 4.953 3.463 3.463 -4.953" Properties=species:S:1:pos:R:3 pbc="T T T"
Gd 0.000 0.000 0.000
Sn 3.463 0.000 0.000
Sn 2.246 2.246 -2.041
Sn 1.218 1.218 2.912
Sn 0.000 3.463 0.000
Sn 1.218 -1.218 6.994
Sn -1.218 1.218 6.994
Ru 1.202 -1.202 4.187
Ru 2.261 2.261 0.766
Ru 2.261 4.665 -0.766
Ru 1.202 1.202 5.720
```

Main lines, by angle (10 to 80 degrees two-theta):
| Position (°2θ) | d_spacing | I/Imax |
| --- | --- | --- |
| 29.98 | 2.981 | 32 |
| 30.23 | 2.956 | 88 |
| 31.52 | 2.838 | 85 |
| 36.70 | 2.449 | 54 |
| 39.90 | 2.259 | 100 |
| 40.10 | 2.249 | 71 |
| 40.83 | 2.210 | 69 |
| 41.18 | 2.192 | 56 |
| 52.55 | 1.741 | 37 |
| 56.33 | 1.633 | 32 |
| 61.98 | 1.497 | 38 |
| 71.90 | 1.313 | 35 |

=====

Entry 2:
For USiPbO7, a crystal structure in the Materials Project, relaxed with PBE gives the theoretical powder XRD pattern in this record (Cu Ka).
Neutral-atom scattering factors, no anomalous dispersion.

Cell and atoms:
```
40
Lattice="6.778 0.000 0.000 0.000 6.934 0.000 -2.924 0.000 13.025" Properties=species:S:1:pos:R:3 pbc="T T T"
U -0.795 1.552 4.185
U -2.256 1.916 10.697
U 6.111 5.019 2.328
U 4.649 5.383 8.840
Si -0.641 4.930 5.553
Si -2.103 5.472 12.065
Si 5.957 1.463 0.960
Si 4.495 2.004 7.472
Pb 2.657 0.209 1.684
Pb 1.195 3.258 8.196
Pb 2.660 3.676 4.828
Pb 1.198 6.725 11.341
O -0.274 0.403 2.136
O -1.736 3.064 8.648
O -2.607 1.683 12.840
O -1.145 1.784 6.328
O -1.943 4.130 11.110
O -0.481 6.271 4.597
O 1.156 4.813 2.627
O -0.306 5.588 9.139
O -0.420 1.541 10.811
O 1.042 1.926 4.299
O 0.765 4.350 6.160
O -0.697 6.051 12.673
O 1.551 0.187 6.959
O 3.012 3.281 0.446
O 0.842 3.654 12.579
O 2.304 6.748 6.066
O 4.552 0.883 0.352
O 3.090 2.584 6.864
O 2.813 5.009 8.726
O 4.274 5.393 2.214
O 4.160 1.346 3.886
O 2.699 2.121 10.398
O 4.336 0.663 8.428
O 5.797 2.804 1.915
O 5.000 5.150 6.697
O 6.461 5.251 0.185
O 5.591 3.870 4.377
O 4.129 6.531 10.889
```

Main lines, by angle (10 to 80 degrees two-theta):
| Position (°2θ) | d_spacing | I/Imax |
| --- | --- | --- |
| 14.47 | 6.121 | 43 |
| 18.70 | 4.745 | 33 |
| 20.76 | 4.278 | 38 |
| 21.20 | 4.192 | 38 |
| 24.77 | 3.594 | 35 |
| 25.42 | 3.504 | 39 |
| 26.96 | 3.307 | 55 |
| 27.42 | 3.252 | 49 |
| 29.08 | 3.071 | 100 |
| 30.33 | 2.947 | 38 |
| 30.66 | 2.916 | 30 |
| 48.32 | 1.884 | 33 |